Record 1
Diffraction record for NaSr2LaTi4O12. The X-ray diffraction stick pattern is simulated, not measured: it uses a PBE-relaxed structure and Cu Kα (weighted mean of Kα1 and Kα2).
Peak positions follow from Bragg's law for the DFT cell and can differ from measured ones.

The 6 most intense peaks (2θ from 5° to 70°), sorted by position:
two_theta	I/Imax
32.26	100
32.37	53
39.84	30
46.44	41
57.67	40
67.52	23

Crystal structure
Lattice parameters (Å, degrees): 5.5307 5.5307 23.6207 90.00 90.00 90.00
Atoms (fractional coordinates):
1 Na 0.0000 0.0000 0.0000
2 Na 0.5000 0.5000 0.1664
3 Na 0.5000 0.5000 0.8336
4 Sr 0.0000 0.0000 0.3331
5 Sr 0.0000 0.0000 0.5000
6 Sr 0.0000 0.0000 0.6669
7 Sr 0.5000 0.5000 0.3323
8 Sr 0.5000 0.5000 0.5000
9 Sr 0.5000 0.5000 0.6677
10 La 0.0000 0.0000 0.1662
11 La 0.0000 0.0000 0.8338
12 La 0.5000 0.5000 0.0000
13 Ti 0.0000 0.5000 0.0828
14 Ti 0.0000 0.5000 0.2483
15 Ti 0.0000 0.5000 0.4163
16 Ti 0.0000 0.5000 0.5837
17 Ti 0.0000 0.5000 0.7517
18 Ti 0.0000 0.5000 0.9172
19 Ti 0.5000 0.0000 0.0828
20 Ti 0.5000 0.0000 0.2483
21 Ti 0.5000 0.0000 0.4163
22 Ti 0.5000 0.0000 0.5837
23 Ti 0.5000 0.0000 0.7517
24 Ti 0.5000 0.0000 0.9172
25 O 0.0000 0.5000 0.0000
26 O 0.0000 0.5000 0.1660
27 O 0.0000 0.5000 0.3326
28 O 0.0000 0.5000 0.5000
29 O 0.0000 0.5000 0.6674
30 O 0.0000 0.5000 0.8340
31 O 0.2140 0.2140 0.0848
32 O 0.2141 0.2141 0.7527
33 O 0.2141 0.7859 0.2473
34 O 0.2140 0.7860 0.9152
35 O 0.2254 0.2254 0.4168
36 O 0.2254 0.7746 0.5832
37 O 0.2731 0.2731 0.2491
38 O 0.2731 0.7269 0.7509
39 O 0.2748 0.2748 0.5837
40 O 0.2748 0.7252 0.4163
41 O 0.2866 0.2866 0.9187
42 O 0.2866 0.7134 0.0813
43 O 0.5000 0.0000 0.0000
44 O 0.5000 0.0000 0.1660
45 O 0.5000 0.0000 0.3326
46 O 0.5000 0.0000 0.5000
47 O 0.5000 0.0000 0.6674
48 O 0.5000 0.0000 0.8340
49 O 0.7134 0.2866 0.0813
50 O 0.7134 0.7134 0.9187
51 O 0.7252 0.2748 0.4163
52 O 0.7252 0.7252 0.5837
53 O 0.7269 0.2731 0.7509
54 O 0.7269 0.7269 0.2491
55 O 0.7746 0.2254 0.5832
56 O 0.7746 0.7746 0.4168
57 O 0.7859 0.2141 0.2473
58 O 0.7860 0.2140 0.9152
59 O 0.7860 0.7860 0.0848
60 O 0.7859 0.7859 0.7527

Record 2
Diffraction record for NaLa2TaO6. The X-ray diffraction stick pattern is simulated, not measured: it uses a PBE-relaxed structure and Cu Kα (weighted mean of Kα1 and Kα2).
Peak positions follow from Bragg's law for the DFT cell and can differ from measured ones.

The 6 most intense peaks (2θ from 5° to 70°), sorted by position:
two_theta	I/Imax
18.21	60
29.67	41
30.31	100
30.69	98
31.25	44
43.66	62

Crystal structure
Lattice parameters (Å, degrees): 5.7244 6.0215 9.9913 90.00 123.99 90.00
Atoms (fractional coordinates):
1 Na 0.0000 0.0000 0.0000
2 Na 0.0000 0.5000 0.5000
3 La 0.2249 0.0585 0.7435
4 La 0.2249 0.4415 0.2435
5 La 0.7751 0.5585 0.7565
6 La 0.7751 0.9415 0.2565
7 Ta 0.5000 0.0000 0.5000
8 Ta 0.5000 0.5000 0.0000
9 O 0.1623 0.1752 0.4479
10 O 0.1623 0.3248 0.9479
11 O 0.2553 0.7250 0.4227
12 O 0.2553 0.7750 0.9227
13 O 0.3995 0.0602 0.2753
14 O 0.3995 0.4398 0.7753
15 O 0.6005 0.5602 0.2247
16 O 0.6005 0.9398 0.7247
17 O 0.7447 0.2250 0.0773
18 O 0.7447 0.2750 0.5773
19 O 0.8377 0.6752 0.0521
20 O 0.8377 0.8248 0.5521

Record 3
Diffraction record for NaLa2TaTi2O12. The X-ray diffraction stick pattern is simulated, not measured: it uses a PBE-relaxed structure and Cu Kα (weighted mean of Kα1 and Kα2).
Peak positions follow from Bragg's law for the DFT cell and can differ from measured ones.

The 6 most intense peaks (2θ from 5° to 70°), sorted by position:
two_theta	I/Imax
5.15	100
10.31	11
24.32	8
29.16	9
32.56	16
46.74	9

Crystal structure
Lattice parameters (Å, degrees): 3.8868 3.8881 17.3177 84.90 84.21 89.96
Atoms (fractional coordinates):
1 Na 0.0000 0.0000 0.0000
2 La 0.7320 0.3254 0.5368
3 La 0.8612 0.4510 0.2823
4 Ta 0.1732 0.7789 0.6729
5 Ti 0.2884 0.8830 0.4167
6 Ti 0.4162 0.0012 0.1625
7 O 0.1439 0.7516 0.7755
8 O 0.1803 0.2900 0.6419
9 O 0.2347 0.8433 0.5326
10 O 0.2767 0.3846 0.4229
11 O 0.3390 0.9356 0.3061
12 O 0.3993 0.4866 0.1931
13 O 0.4675 0.0395 0.0615
14 O 0.6472 0.3275 0.8825
15 O 0.6847 0.7853 0.6416
16 O 0.7825 0.8847 0.4227
17 O 0.8535 0.5198 0.9080
18 O 0.8999 0.9877 0.1912